Structure and theoretical PXRD pattern of Pm3Mg4Si3 (a cell relaxed with GGA-PBE; Cu Kα (λ = 1.5418 Å)).
Kinematic intensities with the Lorentz-polarization factor, no thermal factor.

Peak list (10 most intense, 2θ from 10° to 80°, in order of rising 2θ)
two_theta, d/Å, I (rel.), index
22.13, 4.017, 100.0, 2 1 1
25.61, 3.479, 19.7, 2 2 0
28.69, 3.111, 60.4, 3 1 0
34.10, 2.630, 78.4, 3 2 1
41.02, 2.200, 62.6, 4 2 0
43.12, 2.098, 26.3, 3 3 2
47.10, 1.930, 21.3, 4 3 1
50.83, 1.796, 16.2, 5 2 1
57.76, 1.596, 35.0, 6 1 1
70.31, 1.339, 25.7, 5 5 2

Cell and atoms:
```
data_Pm3Mg4Si3
_chemical_formula_sum 'Pm12 Mg16 Si12'
_cell_length_a 9.839
_cell_length_b 9.839
_cell_length_c 9.839
_cell_angle_alpha 90.00
_cell_angle_beta 90.00
_cell_angle_gamma 90.00
_symmetry_space_group_name_H-M 'I -4 3 d'
_symmetry_Int_Tables_number 220
_symmetry_space_group_name_Hall 'I -4bd 2c 3'
loop_
_atom_site_label
_atom_site_fract_x
_atom_site_fract_y
_atom_site_fract_z
Pm1 0.000 0.250 0.875
Mg1 0.082 0.418 0.582
Si1 0.000 0.250 0.375
```